Diffraction record for Ho2CrBiO6. The powder diffraction line list is theoretical, not measured: it uses a structure optimized by DFT (GGA+U) and Cu Kα, 1.54184 Å.

Structure:
```
data_Ho2CrBiO6
_chemical_formula_sum 'Ho2 Cr1 Bi1 O6'
_cell_length_a 5.361
_cell_length_b 5.361
_cell_length_c 5.366
_cell_angle_alpha 90.00
_cell_angle_beta 90.00
_cell_angle_gamma 90.00
_symmetry_space_group_name_H-M 'P 1'
_symmetry_Int_Tables_number 1
_symmetry_space_group_name_Hall 'P 1'
loop_
_atom_site_label
_atom_site_fract_x
_atom_site_fract_y
_atom_site_fract_z
Ho1 0.000 0.500 0.000
Ho2 0.500 0.000 0.000
Cr1 0.000 0.000 0.634
Bi1 0.500 0.500 0.567
O1 0.000 0.000 0.269
O2 0.240 0.240 0.774
O3 0.240 0.760 0.774
O4 0.500 0.500 0.147
O5 0.760 0.240 0.774
O6 0.760 0.760 0.774
```

Main lines, in order of rising 2θ (2θ = 10–80°):
- hkl 0 0 1, 2θ = 16.53°, 5.363 Å, I = 26
- hkl 1 0 1, 2θ = 23.46°, 3.792 Å, I = 12
- hkl 1 1 1, 2θ = 28.84°, 3.096 Å, I = 100
- hkl 2 0 0, 2θ = 33.42°, 2.681 Å, I = 45
- hkl 1 0 2, 2θ = 37.50°, 2.398 Å, I = 13
- hkl 1 1 2, 2θ = 41.23°, 2.190 Å, I = 18
- hkl 2 2 0, 2θ = 47.99°, 1.896 Å, I = 44
- hkl 0 0 3, 2θ = 51.09°, 1.788 Å, I = 11
- hkl 3 1 1, 2θ = 56.96°, 1.617 Å, I = 39
- hkl 3 3 1, 2θ = 77.61°, 1.230 Å, I = 14